The following is a computed XRD peak list of CaMn16O32. It was derived from a DFT-relaxed cell (GGA+U, Alexandria), using Cu Kα (λ = 1.5418 Å).

Crystal structure
Lattice parameters (Å, degrees): 9.8223 5.9108 10.0080 90.00 90.21 90.00
Space group Pm (No. 6)
Inequivalent atoms, fractional coordinates:
Ca 0.0000 0.0000 0.0000 x1
Mn 0.1524 0.5000 0.2623 x1
Mn 0.1611 0.0000 0.2719 x1
Mn 0.1708 0.2493 0.5819 x2
Mn 0.3336 0.5000 0.7835 x1
Mn 0.3359 0.0000 0.7809 x1
Mn 0.3513 0.2484 0.0957 x2
Mn 0.6550 0.2498 0.7620 x2
Mn 0.6682 0.0000 0.0795 x1
Mn 0.6765 0.5000 0.0726 x1
Mn 0.8348 0.2495 0.2784 x2
Mn 0.8499 0.0000 0.5927 x1
Mn 0.8516 0.5000 0.5942 x1
O 0.0452 0.0000 0.5954 x1
O 0.0459 0.5000 0.5937 x1
O 0.1519 0.2339 0.1321 x2
O 0.1713 0.2483 0.3911 x2
O 0.2031 0.2468 0.7787 x2
O 0.3004 0.5000 0.5922 x1
O 0.3007 0.0000 0.5902 x1
O 0.3274 0.0000 0.9729 x1
O 0.3300 0.5000 0.9744 x1
O 0.3453 0.5000 0.2223 x1
O 0.3520 0.0000 0.2249 x1
O 0.4599 0.2506 0.7729 x2
O 0.5449 0.2463 0.0853 x2
O 0.6560 0.0000 0.6347 x1
O 0.6575 0.5000 0.6344 x1
O 0.6784 0.5000 0.8824 x1
O 0.6794 0.0000 0.8852 x1
O 0.7048 0.0000 0.2718 x1
O 0.7068 0.5000 0.2650 x1
O 0.8124 0.2320 0.0832 x2
O 0.8347 0.2509 0.4711 x2
O 0.8500 0.2471 0.7233 x2
O 0.9583 0.5000 0.2662 x1
O 0.9622 0.0000 0.2636 x1

Largest 10 diffraction maxima, most intense first, 2θ = 10–80°:
2θ (°)	I (rel.)
12.6	100.0
36.6	51.9
18.1	47.2
17.7	45.2
36.5	43.1
28.7	37.5
28.3	33.2
48.6	22.2
35.9	16.8
59.4	14.6